Starting from a DFT-relaxed cell (PBE+U, Alexandria), the powder diffractogram of LiMn3NiO8 was calculated for Cu Kα, 1.54184 Å.
No peak broadening, texture or thermal motion is included.

Cell and atoms:
a b c (Å): 5.7930 5.7930 5.8901
angles (deg): 116.46 116.46 60.37
Sites, in units of the cell vectors:
1 Li 0.0000 0.0000 0.0000
2 Mn 0.0000 0.5000 0.5000
3 Mn 0.5000 0.0000 0.5000
4 Mn 0.5000 0.5000 0.5000
5 Ni 0.0000 0.0000 0.5000
6 O 0.2212 0.2212 0.6871
7 O 0.2315 0.7159 0.7012
8 O 0.2706 0.2706 0.3010
9 O 0.2841 0.7685 0.2988
10 O 0.7159 0.2315 0.7012
11 O 0.7294 0.7294 0.6990
12 O 0.7685 0.2841 0.2988
13 O 0.7788 0.7788 0.3129

Principal peaks in the range 10 to 80 degrees two-theta, in order of rising 2θ:
two_theta	intensity
17.6	100
36.1	7
36.4	21
42.1	15
43.8	29
54.4	6
57.0	9
60.3	7
64.4	8
66.3	5